Entry 1:
The following is a calculated XRD peak list of Ba3Tl9Au2. It was derived from a structure optimized by DFT (GGA-PBE), using Cu Kα (weighted mean of Kα1 and Kα2).

Main lines, by intensity (15 to 90 degrees two-theta):
hkl 1 2 3, 2θ = 29.4°, rel. 100
hkl 2 0 0, 2θ = 34.2°, rel. 57
hkl 1 3 4, 2θ = 38.0°, rel. 48
hkl 1 4 1, 2θ = 35.4°, rel. 35
hkl 1 3 2, 2θ = 31.0°, rel. 34
hkl 1 4 7, 2θ = 57.5°, rel. 25
hkl 0 0 6, 2θ = 37.6°, rel. 24
hkl 1 3 0, 2θ = 28.3°, rel. 23
hkl 2 0 6, 2θ = 51.8°, rel. 19
hkl 0 5 1, 2θ = 38.5°, rel. 18

Structure:
```
data_Ba3Tl9Au2
_chemical_formula_sum 'Ba6 Tl18 Au4'
_space_group_name_H-M_alt 'I m m m'
_space_group_IT_number 71
_space_group_name_Hall '-I 2 2'
_cell_length_a 5.243
_cell_length_b 11.844
_cell_length_c 14.344
_cell_angle_alpha 90.00
_cell_angle_beta 90.00
_cell_angle_gamma 90.00
loop_
_atom_site_label
_atom_site_type_symbol
_atom_site_fract_x
_atom_site_fract_y
_atom_site_fract_z
Ba1 Ba 0.000 0.000 0.000
Ba2 Ba 0.000 0.000 0.315
Tl1 Tl 0.000 0.279 0.135
Tl2 Tl 0.000 0.366 0.349
Tl3 Tl 0.000 0.500 0.000
Au1 Au 0.000 0.190 0.500
```

Entry 2:
The following is a calculated XRD peak list of BaTl2Au2. It was derived from a structure optimized by DFT (GGA-PBE), using Cu Kα (weighted mean of Kα1 and Kα2).

Main lines, by intensity (15 to 90 degrees two-theta):
hkl 1 1 2, 2θ = 30.2°, rel. 100
hkl 2 0 0, 2θ = 38.4°, rel. 57
hkl 1 1 4, 2θ = 38.5°, rel. 50
hkl 1 0 5, 2θ = 39.2°, rel. 34
hkl 1 0 3, 2θ = 27.8°, rel. 25
hkl 2 1 5, 2θ = 56.0°, rel. 25
hkl 3 1 2, 2θ = 64.4°, rel. 24
hkl 1 0 1, 2θ = 20.1°, rel. 21
hkl 2 2 0, 2θ = 55.4°, rel. 20
hkl 3 1 4, 2θ = 69.5°, rel. 18

Structure:
```
data_BaTl2Au2
_chemical_formula_sum 'Ba2 Tl4 Au4'
_space_group_name_H-M_alt 'I 4/m m m'
_space_group_IT_number 139
_space_group_name_Hall '-I 4 2'
_cell_length_a 4.687
_cell_length_b 4.687
_cell_length_c 13.187
_cell_angle_alpha 90.00
_cell_angle_beta 90.00
_cell_angle_gamma 90.00
loop_
_atom_site_label
_atom_site_type_symbol
_atom_site_fract_x
_atom_site_fract_y
_atom_site_fract_z
Ba1 Ba 0.000 0.000 0.000
Tl1 Tl 0.000 0.500 0.250
Au1 Au 0.000 0.000 0.395
```

Entry 3:
The following is a calculated XRD peak list of Ba2Tl2Au15. It was derived from a structure optimized by DFT (GGA-PBE), using Cu Kα (weighted mean of Kα1 and Kα2).

Main lines, by intensity (15 to 90 degrees two-theta):
hkl 2 2 3, 2θ = 40.6°, rel. 100
hkl 0 3 3, 2θ = 36.2°, rel. 95
hkl 2 2 0, 2θ = 35.8°, rel. 51
hkl 0 0 6, 2θ = 37.6°, rel. 45
hkl 6 0 0, 2θ = 64.3°, rel. 31
hkl 3 0 0, 2θ = 30.8°, rel. 31
hkl 1 1 6, 2θ = 41.8°, rel. 30
hkl 0 3 9, 2θ = 67.0°, rel. 23
hkl 6 0 6, 2θ = 76.9°, rel. 21
hkl 3 3 3, 2θ = 58.4°, rel. 21

Structure:
```
data_Ba2Tl2Au15
_chemical_formula_sum 'Ba6 Tl6 Au45'
_space_group_name_H-M_alt 'R -3 m'
_space_group_IT_number 166
_space_group_name_Hall '-R 3 2"'
_cell_length_a 10.0434
_cell_length_b 10.0434
_cell_length_c 14.3446
_cell_angle_alpha 90.00
_cell_angle_beta 90.00
_cell_angle_gamma 120.00
loop_
_atom_site_label
_atom_site_type_symbol
_atom_site_fract_x
_atom_site_fract_y
_atom_site_fract_z
Ba1 Ba 0.0000 0.0000 0.1522
Tl1 Tl 0.0000 0.0000 0.3979
Au1 Au 0.0000 0.3130 0.5000
Au2 Au 0.0000 0.5000 0.0000
Au3 Au 0.0085 0.5043 0.6554
```

Entry 4:
The following is a calculated XRD peak list of Ba3Tl7Au2. It was derived from a structure optimized by DFT (GGA-PBE), using Cu Kα (weighted mean of Kα1 and Kα2).

Main lines, by intensity (15 to 90 degrees two-theta):
hkl 1 1 6, 2θ = 32.4°, rel. 100
hkl 2 0 5, 2θ = 34.9°, rel. 40
hkl 1 0 1, 2θ = 15.9°, rel. 33
hkl 2 2 0, 2θ = 56.3°, rel. 33
hkl 0 2 1, 2θ = 31.8°, rel. 31
hkl 0 2 7, 2θ = 37.7°, rel. 31
hkl 2 2 12, 2θ = 67.9°, rel. 28
hkl 3 0 6, 2θ = 51.6°, rel. 28
hkl 0 0 12, 2θ = 34.7°, rel. 25
hkl 0 1 8, 2θ = 27.9°, rel. 22

Structure:
```
data_Ba3Tl7Au2
_chemical_formula_sum 'Ba9 Tl21 Au6'
_space_group_name_H-M_alt 'R -3 m'
_space_group_IT_number 166
_space_group_name_Hall '-R 3 2"'
_cell_length_a 6.5321
_cell_length_b 6.5321
_cell_length_c 30.9804
_cell_angle_alpha 90.00
_cell_angle_beta 90.00
_cell_angle_gamma 120.00
loop_
_atom_site_label
_atom_site_type_symbol
_atom_site_fract_x
_atom_site_fract_y
_atom_site_fract_z
Ba1 Ba 0.0000 0.0000 0.0000
Ba2 Ba 0.0000 0.0000 0.1390
Tl1 Tl 0.0000 0.0000 0.5000
Tl2 Tl 0.0052 0.5026 0.9229
Au1 Au 0.0000 0.0000 0.3356
```

Entry 5:
The following is a calculated XRD peak list of Ba2TlAu3. It was derived from a structure optimized by DFT (GGA-PBE), using Cu Kα (weighted mean of Kα1 and Kα2).

Main lines, by intensity (15 to 90 degrees two-theta):
hkl 1 1 2, 2θ = 29.2°, rel. 100
hkl 1 0 5, 2θ = 31.6°, rel. 43
hkl 0 1 7, 2θ = 39.9°, rel. 31
hkl 0 2 0, 2θ = 38.9°, rel. 28
hkl 1 1 6, 2θ = 40.8°, rel. 28
hkl 0 1 1, 2θ = 19.8°, rel. 27
hkl 0 1 5, 2θ = 31.3°, rel. 26
hkl 2 0 0, 2θ = 39.7°, rel. 26
hkl 1 2 5, 2θ = 50.9°, rel. 23
hkl 1 0 1, 2θ = 20.1°, rel. 22

Structure:
```
data_Ba2TlAu3
_chemical_formula_sum 'Ba4 Tl2 Au6'
_space_group_name_H-M_alt 'I m m 2'
_space_group_IT_number 44
_cell_length_a 4.544
_cell_length_b 4.634
_cell_length_c 18.118
_cell_angle_alpha 90.00
_cell_angle_beta 90.00
_cell_angle_gamma 90.00
loop_
_space_group_symop_operation_xyz
'x,y,z'
'-x,-y,z'
'-x,y,z'
'x,-y,z'
'x+1/2,y+1/2,z+1/2'
'-x+1/2,-y+1/2,z+1/2'
'-x+1/2,y+1/2,z+1/2'
'x+1/2,-y+1/2,z+1/2'
loop_
_atom_site_label
_atom_site_type_symbol
_atom_site_fract_x
_atom_site_fract_y
_atom_site_fract_z
Ba1 Ba 0.000 0.000 0.000
Ba2 Ba 0.000 0.500 0.227
Tl1 Tl 0.000 0.000 0.399
Au1 Au 0.000 0.000 0.565
Au2 Au 0.000 0.500 0.653
Au3 Au 0.000 0.500 0.807
```

Entry 6:
The following is a calculated XRD peak list of BaTl2Au. It was derived from a structure optimized by DFT (GGA-PBE), using Cu Kα (weighted mean of Kα1 and Kα2).

Main lines, by intensity (15 to 90 degrees two-theta):
hkl 1 1 2, 2θ = 27.7°, rel. 100
hkl 2 0 4, 2θ = 41.0°, rel. 69
hkl 1 1 6, 2θ = 34.9°, rel. 55
hkl 0 0 8, 2θ = 29.5°, rel. 44
hkl 2 0 12, 2θ = 60.3°, rel. 34
hkl 1 1 10, 2θ = 46.3°, rel. 25
hkl 3 1 2, 2θ = 62.7°, rel. 18
hkl 2 2 8, 2θ = 63.6°, rel. 18
hkl 3 1 6, 2θ = 66.8°, rel. 15
hkl 2 2 0, 2θ = 55.0°, rel. 14

Structure:
```
data_BaTl2Au
_chemical_formula_sum 'Ba4 Tl8 Au4'
_space_group_name_H-M_alt 'I -4 2 d'
_space_group_IT_number 122
_space_group_name_Hall 'I -4 2bw'
_cell_length_a 4.724
_cell_length_b 4.724
_cell_length_c 24.231
_cell_angle_alpha 90.00
_cell_angle_beta 90.00
_cell_angle_gamma 90.00
loop_
_atom_site_label
_atom_site_type_symbol
_atom_site_fract_x
_atom_site_fract_y
_atom_site_fract_z
Ba1 Ba 0.000 0.000 0.000
Tl1 Tl 0.214 0.250 0.625
Au1 Au 0.000 0.000 0.500
```

Entry 7:
The following is a calculated XRD peak list of Ba8TlAu3. It was derived from a structure optimized by DFT (GGA-PBE), using Cu Kα (weighted mean of Kα1 and Kα2).

Main lines, by intensity (15 to 90 degrees two-theta):
hkl 0 2 4, 2θ = 26.3°, rel. 100
hkl 2 2 0, 2θ = 36.4°, rel. 42
hkl 2 0 8, 2θ = 38.5°, rel. 36
hkl 0 2 1, 2θ = 21.2°, rel. 29
hkl 4 0 4, 2θ = 45.4°, rel. 22
hkl 2 4 4, 2θ = 59.5°, rel. 20
hkl 2 2 12, 2θ = 62.5°, rel. 18
hkl 4 2 8, 2θ = 66.9°, rel. 17
hkl 2 2 3, 2θ = 38.4°, rel. 17
hkl 0 2 7, 2θ = 35.1°, rel. 13

Structure:
```
data_Ba8TlAu3
_chemical_formula_sum 'Ba24 Tl3 Au9'
_space_group_name_H-M_alt 'R -3 m'
_space_group_IT_number 166
_space_group_name_Hall '-R 3 2"'
_cell_length_a 9.8763
_cell_length_b 9.8763
_cell_length_c 22.3032
_cell_angle_alpha 90.00
_cell_angle_beta 90.00
_cell_angle_gamma 120.00
loop_
_atom_site_label
_atom_site_type_symbol
_atom_site_fract_x
_atom_site_fract_y
_atom_site_fract_z
Ba1 Ba 0.0000 0.0000 0.2468
Ba2 Ba 0.0158 0.5079 0.7543
Tl1 Tl 0.0000 0.0000 0.5000
Au1 Au 0.0000 0.5000 0.5000
```

Entry 8:
The following is a calculated XRD peak list of Ba12TlAu5. It was derived from a structure optimized by DFT (GGA-PBE), using Cu Kα (weighted mean of Kα1 and Kα2).

Main lines, by intensity (15 to 90 degrees two-theta):
hkl 1 3 2, 2θ = 28.6°, rel. 100
hkl 2 3 1, 2θ = 29.3°, rel. 53
hkl 2 2 2, 2θ = 26.9°, rel. 37
hkl 3 0 3, 2θ = 33.3°, rel. 30
hkl 5 3 2, 2θ = 50.6°, rel. 26
hkl 4 0 0, 2θ = 33.1°, rel. 25
hkl 3 2 1, 2θ = 30.0°, rel. 20
hkl 3 3 6, 2θ = 57.5°, rel. 20
hkl 2 0 0, 2θ = 16.4°, rel. 18
hkl 1 1 4, 2θ = 31.6°, rel. 18

Structure:
```
data_Ba12TlAu5
_chemical_formula_sum 'Ba24 Tl2 Au10'
_space_group_name_H-M_alt 'I m m m'
_space_group_IT_number 71
_space_group_name_Hall '-I 2 2'
_cell_length_a 10.829
_cell_length_b 11.641
_cell_length_c 12.111
_cell_angle_alpha 90.00
_cell_angle_beta 90.00
_cell_angle_gamma 90.00
loop_
_atom_site_label
_atom_site_type_symbol
_atom_site_fract_x
_atom_site_fract_y
_atom_site_fract_z
Ba1 Ba 0.000 0.185 0.243
Ba2 Ba 0.190 0.500 0.163
Ba3 Ba 0.227 0.329 0.500
Tl1 Tl 0.000 0.000 0.500
Au1 Au 0.000 0.000 0.000
Au2 Au 0.000 0.333 0.000
Au3 Au 0.000 0.500 0.378
```